Structure and theoretical powder diffractogram of Lu6MgWO12 (the PBE+U geometry in the Materials Project; Cu Ka).
Lines closer than 0.1° are merged.

The 10 most intense peaks (15 to 90 degrees two-theta), in order of rising 2θ:
(0 1 -2), d = 3.104 Å, intensity 95
(1 1 1), d = 3.087 Å, intensity 84
(1 -2 0), d = 3.048 Å, intensity 93
(2 0 -1), d = 2.963 Å, intensity 88
(1 2 -1), d = 2.658 Å, intensity 40
(2 -1 1), d = 2.632 Å, intensity 100
(1 0 3), d = 1.904 Å, intensity 23
(1 -3 2), d = 1.896 Å, intensity 25
(3 1 0), d = 1.847 Å, intensity 23
(-3 2 1), d = 1.821 Å, intensity 29

a b c (Å): 6.2991 6.5377 6.5461
angles (deg): 100.39 97.77 99.00
Atoms (fractional coordinates):
Lu  0.0000  0.0000  0.0000
Lu  0.0896  0.5287  0.1901
Lu  0.2569  0.0795  0.5007
Lu  0.5334  0.2590  0.1341
Lu  0.6563  0.7846  0.4116
Lu  0.7870  0.3087  0.6763
Mg  0.0265  0.7163  0.6321
W  0.4220  0.6558  0.8329
O  0.0910  0.5460  0.8462
O  0.2119  0.2452  0.2502
O  0.3119  0.7337  0.5194
O  0.3388  0.9501  0.9357
O  0.4562  0.3398  0.7450
O  0.4572  0.5837  0.1367
O  0.5792  0.0873  0.3987
O  0.7244  0.7417  0.7679
O  0.8258  0.4911  0.4155
O  0.8275  0.2581  0.0036
O  0.9683  0.8331  0.2475
O  0.9723  0.0339  0.6530


Structure and theoretical powder diffractogram of Li2Cr2Si4O11 (the PBE+U geometry in the Materials Project; Cu Ka).
Lines closer than 0.1° are merged.

The 10 most intense peaks (15 to 90 degrees two-theta), in order of rising 2θ:
(1 -2 1), d = 3.568 Å, intensity 26
(1 1 -2), d = 3.543 Å, intensity 22
(1 -1 2), d = 3.354 Å, intensity 24
(0 1 2), d = 3.309 Å, intensity 52
(0 2 1), d = 3.067 Å, intensity 47
(2 -2 0), d = 3.018 Å, intensity 100
(0 1 -3), d = 2.839 Å, intensity 24
(2 1 -1), d = 2.763 Å, intensity 61
(-4 1 1), d = 1.774 Å, intensity 30
(0 0 5), d = 1.679 Å, intensity 21

a b c (Å): 7.1336 7.8265 8.8197
angles (deg): 98.55 102.04 108.54
Atoms (fractional coordinates):
Li  0.1211  0.2812  0.2012
Li  0.3489  0.7550  0.8466
Li  0.6511  0.2450  0.1534
Li  0.8789  0.7188  0.7988
Cr  0.1353  0.8861  0.5996
Cr  0.3804  0.1190  0.3858
Cr  0.6196  0.8810  0.6142
Cr  0.8647  0.1139  0.4004
Si  0.0213  0.7173  0.2192
Si  0.2571  0.1140  0.9642
Si  0.2749  0.4736  0.6030
Si  0.4557  0.7197  0.2323
Si  0.5443  0.2803  0.7677
Si  0.7251  0.5264  0.3970
Si  0.7429  0.8860  0.0358
Si  0.9787  0.2827  0.7808
O  0.1023  0.2359  0.9397
O  0.1056  0.8988  0.3650
O  0.1351  0.4610  0.7361
O  0.1574  0.3138  0.4401
O  0.1719  0.9103  0.8429
O  0.2034  0.6490  0.1770
O  0.3130  0.1224  0.1507
O  0.3350  0.6881  0.5932
O  0.4274  0.0931  0.6266
O  0.4778  0.2428  0.9320
O  0.4878  0.4496  0.7053
O  0.5122  0.5504  0.2947
O  0.5222  0.7572  0.0680
O  0.5726  0.9069  0.3734
O  0.6650  0.3119  0.4068
O  0.6870  0.8776  0.8493
O  0.7966  0.3510  0.8230
O  0.8281  0.0897  0.1571
O  0.8426  0.6862  0.5599
O  0.8649  0.5390  0.2639
O  0.8944  0.1012  0.6350
O  0.8977  0.7641  0.0603


Structure and theoretical powder diffractogram of KCoO2 (the PBE+U geometry in the Materials Project; Cu Ka).
Lines closer than 0.1° are merged.

The 10 most intense peaks (15 to 90 degrees two-theta), in order of rising 2θ:
(1 0 1), d = 4.570 Å, intensity 24
(2 0 0), d = 2.910 Å, intensity 38
(1 1 2), d = 2.748 Å, intensity 100
(2 2 0), d = 2.058 Å, intensity 20
(3 1 2), d = 1.647 Å, intensity 36
(2 0 4), d = 1.559 Å, intensity 19
(2 2 4), d = 1.374 Å, intensity 9
(4 2 0), d = 1.301 Å, intensity 9
(3 3 2), d = 1.286 Å, intensity 7
(5 1 2), d = 1.090 Å, intensity 8

a b c (Å): 5.8200 5.8200 7.3822
angles (deg): 90.00 90.00 90.00
Atoms (fractional coordinates):
K  0.0000  0.0000  0.0000
K  0.0000  0.5000  0.2500
K  0.5000  0.0000  0.7500
K  0.5000  0.5000  0.5000
Co  0.0000  0.0000  0.5000
Co  0.0000  0.5000  0.7500
Co  0.5000  0.0000  0.2500
Co  0.5000  0.5000  0.0000
O  0.1304  0.2500  0.6250
O  0.2500  0.6304  0.8750
O  0.2500  0.8696  0.3750
O  0.3696  0.2500  0.1250
O  0.6304  0.7500  0.1250
O  0.7500  0.1304  0.3750
O  0.7500  0.3696  0.8750
O  0.8696  0.7500  0.6250


Structure and theoretical powder diffractogram of Li9Mn2Co5O16 (the PBE+U geometry in the Materials Project; Cu Ka).
Lines closer than 0.1° are merged.

The 10 most intense peaks (15 to 90 degrees two-theta), in order of rising 2θ:
(0 2 0), d = 4.832 Å, intensity 100
(1 0 2), d = 2.571 Å, intensity 18
(0 1 4), d = 2.491 Å, intensity 13
(1 1 -2), d = 2.453 Å, intensity 12
(1 -2 2), d = 2.151 Å, intensity 32
(0 3 4), d = 2.063 Å, intensity 27
(1 3 -2), d = 2.035 Å, intensity 26
(1 1 6), d = 1.493 Å, intensity 8
(-1 5 2), d = 1.484 Å, intensity 8
(1 0 -6), d = 1.439 Å, intensity 9

a b c (Å): 2.9475 9.7559 10.1503
angles (deg): 85.60 87.53 83.27
Atoms (fractional coordinates):
Li  0.0000  0.0000  0.0000
Li  0.0044  0.9989  0.4978
Li  0.1391  0.7411  0.6884
Li  0.2348  0.5054  0.8677
Li  0.2521  0.5012  0.3776
Li  0.4896  0.9991  0.7433
Li  0.4986  0.0023  0.2513
Li  0.7410  0.5080  0.6277
Li  0.7597  0.4929  0.1263
Mn  0.1167  0.7527  0.1896
Mn  0.6182  0.7490  0.9286
Co  0.3718  0.2485  0.5620
Co  0.3724  0.2506  0.0616
Co  0.6303  0.7518  0.4487
Co  0.8721  0.2545  0.3139
Co  0.8744  0.2471  0.8100
O  0.0398  0.8659  0.3434
O  0.0842  0.8596  0.8527
O  0.1499  0.6435  0.0262
O  0.2129  0.6349  0.5223
O  0.3088  0.3604  0.7157
O  0.3108  0.3696  0.2206
O  0.4288  0.1401  0.4072
O  0.4451  0.1333  0.9009
O  0.5289  0.8655  0.0887
O  0.5628  0.8650  0.5750
O  0.6872  0.6312  0.7942
O  0.7041  0.6391  0.2883
O  0.7791  0.3637  0.4715
O  0.8046  0.3640  0.9723
O  0.9465  0.1357  0.1549
O  0.9645  0.1311  0.6519


Structure and theoretical powder diffractogram of Al2NiO4 (the PBE+U geometry in the Materials Project; Cu Ka).
Lines closer than 0.1° are merged.

The 10 most intense peaks (15 to 90 degrees two-theta), in order of rising 2θ:
(1 1 -1), d = 2.904 Å, intensity 30
(2 -1 0), d = 2.894 Å, intensity 60
(0 1 2), d = 2.881 Å, intensity 88
(0 2 -2), d = 2.471 Å, intensity 81
(2 -2 0), d = 2.464 Å, intensity 100
(-1 1 3), d = 2.455 Å, intensity 63
(2 1 2), d = 1.577 Å, intensity 27
(-2 3 2), d = 1.573 Å, intensity 34
(4 -2 0), d = 1.447 Å, intensity 40
(2 -2 6), d = 1.439 Å, intensity 39

a b c (Å): 5.7866 5.7905 9.9569
angles (deg): 106.85 90.03 119.77
Atoms (fractional coordinates):
Al  0.0000  0.0000  0.0000
Al  0.9995  0.0001  0.4998
Al  0.0017  0.5014  0.0006
Al  0.2489  0.9997  0.2501
Al  0.4981  0.9992  0.5003
Al  0.4985  0.5008  0.5006
Al  0.5012  0.9993  0.0002
Al  0.7497  0.9991  0.7502
Ni  0.0599  0.6187  0.6859
Ni  0.4366  0.3722  0.8149
Ni  0.5600  0.6193  0.1857
Ni  0.9331  0.3755  0.3150
O  0.0875  0.2377  0.8813
O  0.1333  0.7668  0.8953
O  0.1468  0.2386  0.3817
O  0.1483  0.7930  0.3818
O  0.3522  0.2024  0.1172
O  0.3569  0.7664  0.1185
O  0.3654  0.2388  0.6053
O  0.4103  0.7674  0.6189
O  0.5838  0.2339  0.3838
O  0.6335  0.7648  0.3953
O  0.6453  0.7913  0.8818
O  0.6510  0.2372  0.8837
O  0.8487  0.2016  0.6168
O  0.8555  0.7656  0.6184
O  0.8723  0.2388  0.1053
O  0.9114  0.7667  0.1187


Structure and theoretical powder diffractogram of Li2FeBAsO7 (the PBE+U geometry in the Materials Project; Cu Ka).
Lines closer than 0.1° are merged.

The 10 most intense peaks (15 to 90 degrees two-theta), in order of rising 2θ:
(1 0 -1), d = 4.561 Å, intensity 54
(1 0 1), d = 4.346 Å, intensity 41
(1 1 1), d = 3.637 Å, intensity 61
(1 0 -2), d = 3.428 Å, intensity 70
(0 2 0), d = 3.321 Å, intensity 100
(1 0 2), d = 3.246 Å, intensity 25
(0 2 1), d = 3.103 Å, intensity 26
(1 1 2), d = 2.917 Å, intensity 21
(2 0 0), d = 2.587 Å, intensity 30
(1 1 3), d = 2.320 Å, intensity 25

a b c (Å): 5.1823 6.6414 8.7300
angles (deg): 90.00 93.16 90.00
Atoms (fractional coordinates):
Li  0.2174  0.0220  0.2970
Li  0.2174  0.4780  0.2970
Li  0.7826  0.5220  0.7030
Li  0.7826  0.9780  0.7030
Fe  0.2160  0.7500  0.8349
Fe  0.7840  0.2500  0.1651
B  0.2662  0.7500  0.5546
B  0.7338  0.2500  0.4454
As  0.2747  0.2500  0.9229
As  0.7253  0.7500  0.0771
O  0.0282  0.7500  0.6205
O  0.1500  0.2500  0.1024
O  0.1796  0.0481  0.8134
O  0.1796  0.4519  0.8134
O  0.2846  0.7500  0.4009
O  0.3936  0.7500  0.0371
O  0.4722  0.7500  0.6628
O  0.5278  0.2500  0.3372
O  0.6064  0.2500  0.9629
O  0.7154  0.2500  0.5991
O  0.8204  0.5481  0.1866
O  0.8204  0.9519  0.1866
O  0.8500  0.7500  0.8976
O  0.9718  0.2500  0.3795